Structure and calculated X-ray powder pattern of LaThAg (the GGA-PBE geometry in OQMD; Cu Ka).
Peak positions follow from Bragg's law for the DFT cell and can differ from measured ones.

Main lines, sorted by position (10° ≤ 2θ ≤ 90°):
(hkl)	2theta	I_rel
1 1 1	21.1	21
2 0 0	24.4	33
2 2 0	34.8	100
3 1 1	41.0	11
4 0 0	50.0	18
4 2 0	56.4	14
4 2 2	62.4	37
6 2 0	83.9	16

Cell and atoms:
```
data_LaThAg
_cell_length_a 7.294
_cell_length_b 7.294
_cell_length_c 7.294
_cell_angle_alpha 90.00
_cell_angle_beta 90.00
_cell_angle_gamma 90.00
_symmetry_space_group_name_H-M 'F -4 3 m'
_symmetry_Int_Tables_number 216
_symmetry_space_group_name_Hall 'F -4 2 3'
loop_
_atom_site_label
_atom_site_type_symbol
_atom_site_fract_x
_atom_site_fract_y
_atom_site_fract_z
La1 La 0.000 0.000 0.000
Th1 Th 0.000 0.000 0.500
Ag1 Ag 0.250 0.250 0.250
```